Entry 1:
Diffraction record for Np2AsO. The powder XRD pattern is simulated, not measured: it uses a cell relaxed with GGA-PBE and copper Kα.
Intensities are scaled so that the largest is 100.

Main lines, low angle first (2θ from 10° to 90°):
- hkl 1 1 1, d 3.546, 2θ 25.11, I 48
- hkl 0 0 2, d 2.724, 2θ 32.88, I 33
- hkl 1 3 1, d 2.706, 2θ 33.11, I 100
- hkl 2 0 0, d 2.541, 2θ 35.32, I 27
- hkl 2 0 2, d 1.858, 2θ 49.02, I 24
- hkl 1 3 3, d 1.569, 2θ 58.86, I 20

Structure:
abc: 5.0828 11.8418 5.4474
angles: 90.00 90.00 90.00
Space group Cccm (No. 66)
Symmetry-distinct sites (fractional):
Np  0.2415  0.1146  0.0000 x8
As  0.2500  0.2500  0.5000 x4
O  0.0000  0.0000  0.2500 x4

---

Entry 2:
Diffraction record for K3Ag2F7. The powder XRD pattern is simulated, not measured: it uses a cell relaxed with GGA-PBE and copper Kα.
Intensities are scaled so that the largest is 100.

Main lines, low angle first (2θ from 10° to 90°):
- hkl 0 0 4, d 5.472, 2θ 16.20, I 40
- hkl 1 0 1, d 4.338, 2θ 20.48, I 59
- hkl 1 1 0, d 3.129, 2θ 28.53, I 72
- hkl 1 0 5, d 3.112, 2θ 28.68, I 100
- hkl 2 0 0, d 2.213, 2θ 40.78, I 57
- hkl 2 1 5, d 1.803, 2θ 50.62, I 39

Structure:
abc: 4.4253 4.4253 21.8889
angles: 90.00 90.00 90.00
Space group I4/mmm (No. 139)
Symmetry-distinct sites (fractional):
K  0.0000  0.0000  0.0000 x2
K  0.0000  0.0000  0.1829 x4
Ag  0.0000  0.0000  0.4008 x4
F  0.0000  0.0000  0.3005 x4
F  0.0000  0.0000  0.5000 x2
F  0.0000  0.5000  0.0962 x8

---

Entry 3:
Diffraction record for Nd12InNi5. The powder XRD pattern is simulated, not measured: it uses a cell relaxed with GGA-PBE and copper Kα.
Intensities are scaled so that the largest is 100.

Main lines, low angle first (2θ from 10° to 90°):
- hkl 3 1 0, d 3.064, 2θ 29.15, I 46
- hkl 2 2 2, d 2.874, 2θ 31.12, I 100
- hkl 2 1 3, d 2.693, 2θ 33.27, I 70
- hkl 1 3 2, d 2.678, 2θ 33.46, I 72
- hkl 3 2 1, d 2.613, 2θ 34.31, I 41
- hkl 5 3 2, d 1.587, 2θ 58.11, I 37

Structure:
abc: 9.6551 9.9448 10.2999
angles: 90.00 90.00 90.00
Space group Immm (No. 71)
Symmetry-distinct sites (fractional):
Nd  0.0000  0.1888  0.2062 x8
Nd  0.1928  0.5000  0.1775 x8
Nd  0.1994  0.3185  0.5000 x8
In  0.0000  0.0000  0.5000 x2
Ni  0.0000  0.0000  0.0000 x2
Ni  0.0000  0.3693  0.0000 x4
Ni  0.0000  0.5000  0.3770 x4